1.
Diffraction record for ZrCo2Cu. The powder X-ray diffraction pattern is computed, not measured: it uses a DFT-relaxed cell (PBE, Alexandria) and a wavelength of 1.5418 Å.

Peak list (10 most intense, 10 to 80 degrees two-theta, in order of rising 2θ)
2θ (°)	d [Å]	Rel. int.
22.54	3.946	0.9
26.53	3.360	4.1
41.30	2.186	100.0
42.10	2.146	1.2
46.01	1.973	18.1
49.07	1.857	29.6
56.64	1.625	1.0
66.60	1.404	0.7
69.53	1.352	19.3
71.92	1.313	8.7

Cell and atoms:
```
data_ZrCo2Cu
_cell_length_a 4.739
_cell_length_b 4.739
_cell_length_c 4.739
_cell_angle_alpha 133.87
_cell_angle_beta 133.87
_cell_angle_gamma 67.29
_symmetry_space_group_name_H-M 'P 1'
_symmetry_Int_Tables_number 1
_symmetry_space_group_name_Hall 'P 1'
loop_
_atom_site_label
_atom_site_type_symbol
_atom_site_fract_x
_atom_site_fract_y
_atom_site_fract_z
Zr1 Zr 0.000 0.000 0.000
Co1 Co 0.500 0.500 0.000
Co2 Co 0.750 0.250 0.500
Cu1 Cu 0.250 0.750 0.500
```


2.
Diffraction record for KAgPPd. The powder X-ray diffraction pattern is computed, not measured: it uses a DFT-relaxed cell (PBE, Alexandria) and a wavelength of 1.5418 Å.

Peak list (10 most intense, 10 to 80 degrees two-theta, in order of rising 2θ)
2θ (°)	d [Å]	Rel. int.
15.02	5.899	100.0
30.31	2.949	29.0
30.60	2.922	22.5
34.25	2.618	96.1
43.60	2.076	32.3
43.82	2.066	31.2
46.58	1.950	22.4
54.21	1.692	21.2
56.41	1.631	27.0
74.36	1.276	18.2

Cell and atoms:
```
data_KAgPPd
_cell_length_a 4.132
_cell_length_b 4.132
_cell_length_c 11.797
_cell_angle_alpha 90.00
_cell_angle_beta 90.00
_cell_angle_gamma 90.00
_symmetry_space_group_name_H-M 'P 1'
_symmetry_Int_Tables_number 1
_symmetry_space_group_name_Hall 'P 1'
loop_
_atom_site_label
_atom_site_type_symbol
_atom_site_fract_x
_atom_site_fract_y
_atom_site_fract_z
K1 K 0.250 0.250 0.247
K2 K 0.750 0.750 0.753
Ag1 Ag 0.250 0.750 0.000
Ag2 Ag 0.750 0.250 0.000
P1 P 0.250 0.250 0.602
P2 P 0.750 0.750 0.398
Pd1 Pd 0.250 0.750 0.500
Pd2 Pd 0.750 0.250 0.500
```


3.
Diffraction record for Sc5TlSe8. The powder X-ray diffraction pattern is computed, not measured: it uses a DFT-relaxed cell (PBE, Alexandria) and a wavelength of 1.5418 Å.

Peak list (10 most intense, 10 to 80 degrees two-theta, in order of rising 2θ)
2θ (°)	d [Å]	Rel. int.
18.21	4.871	25.9
28.87	3.093	34.6
29.19	3.059	35.4
29.65	3.013	100.0
30.91	2.893	68.7
31.38	2.851	23.6
36.96	2.432	33.4
42.41	2.131	21.0
46.80	1.941	59.0
50.84	1.796	17.7

Cell and atoms:
```
data_Sc5TlSe8
_cell_length_a 10.287
_cell_length_b 10.287
_cell_length_c 9.600
_cell_angle_alpha 104.62
_cell_angle_beta 104.62
_cell_angle_gamma 21.73
_symmetry_space_group_name_H-M 'P 1'
_symmetry_Int_Tables_number 1
_symmetry_space_group_name_Hall 'P 1'
loop_
_atom_site_label
_atom_site_type_symbol
_atom_site_fract_x
_atom_site_fract_y
_atom_site_fract_z
Sc1 Sc 0.000 0.000 0.000
Sc2 Sc 0.051 0.051 0.378
Sc3 Sc 0.344 0.344 0.036
Sc4 Sc 0.640 0.640 0.695
Sc5 Sc 0.691 0.691 0.075
Tl1 Tl 0.875 0.875 0.527
Se1 Se 0.110 0.110 0.886
Se2 Se 0.176 0.176 0.543
Se3 Se 0.264 0.264 0.227
Se4 Se 0.426 0.426 0.847
Se5 Se 0.511 0.511 0.530
Se6 Se 0.580 0.580 0.189
Se7 Se 0.767 0.767 0.881
Se8 Se 0.922 0.922 0.192
```


4.
Diffraction record for HfCd2Re2. The powder X-ray diffraction pattern is computed, not measured: it uses a DFT-relaxed cell (PBE, Alexandria) and a wavelength of 1.5418 Å.

Peak list (10 most intense, 10 to 80 degrees two-theta, in order of rising 2θ)
2θ (°)	d [Å]	Rel. int.
29.09	3.069	18.5
32.19	2.781	27.0
36.11	2.487	64.8
37.16	2.420	68.8
38.94	2.313	100.0
41.39	2.182	42.9
47.02	1.932	19.7
47.67	1.908	18.6
51.39	1.778	22.7
68.02	1.378	39.4

Cell and atoms:
```
data_HfCd2Re2
_cell_length_a 7.866
_cell_length_b 7.866
_cell_length_c 3.069
_cell_angle_alpha 90.00
_cell_angle_beta 90.00
_cell_angle_gamma 90.00
_symmetry_space_group_name_H-M 'P 1'
_symmetry_Int_Tables_number 1
_symmetry_space_group_name_Hall 'P 1'
loop_
_atom_site_label
_atom_site_type_symbol
_atom_site_fract_x
_atom_site_fract_y
_atom_site_fract_z
Hf1 Hf 0.000 0.000 0.000
Hf2 Hf 0.500 0.500 0.000
Cd1 Cd 0.185 0.315 0.500
Cd2 Cd 0.315 0.815 0.500
Cd3 Cd 0.685 0.185 0.500
Cd4 Cd 0.815 0.685 0.500
Re1 Re 0.107 0.607 0.000
Re2 Re 0.393 0.107 0.000
Re3 Re 0.607 0.893 0.000
Re4 Re 0.893 0.393 0.000
```